This entry pairs a crystal structure of Pa4Ga3Pd with its computed powder XRD pattern. Radiation: λ = 1.5418 Å (Cu Kα). Structure: DFT lattice parameters and positions (PBE).

Atomic structure:
```
data_Pa4Ga3Pd
_chemical_formula_sum 'Pa4 Ga3 Pd1'
_cell_length_a 3.328
_cell_length_b 4.445
_cell_length_c 11.686
_cell_angle_alpha 90.00
_cell_angle_beta 90.00
_cell_angle_gamma 90.00
_symmetry_space_group_name_H-M 'P m m 2'
_symmetry_Int_Tables_number 25
loop_
_symmetry_equiv_pos_as_xyz
'x,y,z'
'-x,-y,z'
'-x,y,z'
'x,-y,z'
loop_
_atom_site_label
_atom_site_type_symbol
_atom_site_fract_x
_atom_site_fract_y
_atom_site_fract_z
Pa1 Pa 0.000 0.000 0.000
Pa2 Pa 0.000 0.500 0.335
Pa3 Pa 0.500 0.000 0.502
Pa4 Pa 0.500 0.500 0.838
Ga1 Ga 0.000 0.000 0.732
Ga2 Ga 0.000 0.500 0.605
Ga3 Ga 0.500 0.500 0.105
Pd1 Pd 0.500 0.000 0.232
```

Most intense lines, 2θ = 15–90°, sorted by position:
hkl  2theta  I/Imax
0 1 2  25.17  383
1 1 1  34.53  1000
1 0 3  35.48  583
0 1 4  36.82  637
0 2 0  40.60  293
1 2 3  54.99  340
2 0 0  55.20  121
1 1 7  66.05  158
2 1 4  68.21  213
1 3 1  69.97  133

This entry pairs a crystal structure of PaGa3Pd2 with its computed powder XRD pattern. Radiation: λ = 1.5418 Å (Cu Kα). Structure: DFT lattice parameters and positions (PBE).

Atomic structure:
```
data_PaGa3Pd2
_chemical_formula_sum 'Pa2 Ga6 Pd4'
_cell_length_a 4.3618
_cell_length_b 4.3618
_cell_length_c 13.0451
_cell_angle_alpha 90.00
_cell_angle_beta 90.00
_cell_angle_gamma 120.00
_symmetry_space_group_name_H-M 'P 63/m m c'
_symmetry_Int_Tables_number 194
_symmetry_space_group_name_Hall '-P 6c 2c'
loop_
_atom_site_label
_atom_site_type_symbol
_atom_site_fract_x
_atom_site_fract_y
_atom_site_fract_z
Pa1 Pa 0.0000 0.0000 0.2500
Ga1 Ga 0.0000 0.0000 0.0000
Ga2 Ga 0.3333 0.6667 0.1243
Pd1 Pd 0.3333 0.6667 0.5889
```

Most intense lines, 2θ = 15–90°, sorted by position:
hkl  2theta  I/Imax
1 0 0  23.55  102
1 0 2  27.28  436
1 0 4  36.40  1000
1 1 0  41.40  794
2 0 4  56.29  284
1 1 6  60.09  166
2 1 4  72.23  269
1 1 8  72.36  108
3 0 0  75.51  133
2 2 0  89.98  88